Li4Mn3O7: calculated powder X-ray diffraction pattern (CuKα), based on a cell relaxed with PBE+U.
Peak positions follow from Bragg's law for the DFT cell and can differ from measured ones.

Structure:
a = 5.077 Å, b = 5.280 Å, c = 10.188 Å
α = 96.12°, β = 101.50°, γ = 102.30°
Sites, in units of the cell vectors:
Li (0.000, 0.000, 0.000)
Li (0.000, 0.000, 0.500)
Li (0.134, 0.290, 0.294)
Li (0.269, 0.588, 0.572)
Li (0.424, 0.868, 0.858)
Li (0.576, 0.132, 0.142)
Li (0.731, 0.412, 0.428)
Li (0.866, 0.710, 0.706)
Mn (0.142, 0.268, 0.778)
Mn (0.283, 0.574, 0.073)
Mn (0.431, 0.874, 0.362)
Mn (0.569, 0.126, 0.638)
Mn (0.717, 0.426, 0.927)
Mn (0.858, 0.732, 0.222)
O (0.066, 0.636, 0.904)
O (0.079, 0.652, 0.382)
O (0.207, 0.932, 0.193)
O (0.241, 0.931, 0.675)
O (0.367, 0.225, 0.955)
O (0.377, 0.182, 0.465)
O (0.497, 0.553, 0.258)
O (0.503, 0.447, 0.742)
O (0.623, 0.818, 0.535)
O (0.633, 0.775, 0.045)
O (0.759, 0.069, 0.325)
O (0.793, 0.068, 0.807)
O (0.921, 0.348, 0.618)
O (0.934, 0.364, 0.096)

Principal peaks in the range 10° ≤ 2θ ≤ 80°, low angle first:
| Position (°2θ) | I_rel |
| --- | --- |
| 18.31 | 1000 |
| 34.04 | 167 |
| 36.22 | 115 |
| 36.41 | 121 |
| 37.15 | 88 |
| 40.81 | 334 |
| 44.35 | 541 |
| 58.45 | 89 |
| 61.50 | 81 |
| 64.11 | 89 |

Li2MnO3: calculated powder X-ray diffraction pattern (CuKα), based on a cell relaxed with PBE+U.
Peak positions follow from Bragg's law for the DFT cell and can differ from measured ones.

Structure:
a = 7.686 Å, b = 7.686 Å, c = 5.074 Å
α = 107.80°, β = 107.80°, γ = 21.71°
Sites, in units of the cell vectors:
Li (0.000, 0.000, 0.000)
Li (0.160, 0.160, 0.480)
Li (0.500, 0.500, 0.500)
Li (0.840, 0.840, 0.520)
Mn (0.338, 0.338, 0.996)
Mn (0.662, 0.662, 0.004)
O (0.094, 0.094, 0.775)
O (0.244, 0.244, 0.212)
O (0.409, 0.409, 0.765)
O (0.591, 0.591, 0.235)
O (0.756, 0.756, 0.788)
O (0.906, 0.906, 0.225)

Principal peaks in the range 10° ≤ 2θ ≤ 80°, low angle first:
| Position (°2θ) | I_rel |
| --- | --- |
| 12.34 | 468 |
| 18.40 | 1000 |
| 18.71 | 135 |
| 24.83 | 196 |
| 25.94 | 126 |
| 36.31 | 330 |
| 43.70 | 681 |
| 44.27 | 322 |
| 63.74 | 170 |
| 64.18 | 164 |

Li4Mn3O7: calculated powder X-ray diffraction pattern (CuKα), based on a cell relaxed with PBE+U.
Peak positions follow from Bragg's law for the DFT cell and can differ from measured ones.

Structure:
a = 5.091 Å, b = 5.987 Å, c = 8.783 Å
α = 89.38°, β = 86.04°, γ = 76.61°
Sites, in units of the cell vectors:
Li (0.000, 0.000, 0.000)
Li (0.000, 0.500, 0.000)
Li (0.142, 0.204, 0.719)
Li (0.285, 0.930, 0.424)
Li (0.419, 0.648, 0.139)
Li (0.581, 0.352, 0.861)
Li (0.715, 0.070, 0.576)
Li (0.858, 0.796, 0.281)
Mn (0.134, 0.727, 0.720)
Mn (0.290, 0.426, 0.427)
Mn (0.435, 0.129, 0.139)
Mn (0.565, 0.871, 0.861)
Mn (0.710, 0.574, 0.573)
Mn (0.866, 0.273, 0.280)
O (0.012, 0.257, 0.486)
O (0.167, 0.427, 0.212)
O (0.168, 0.969, 0.207)
O (0.295, 0.686, 0.913)
O (0.318, 0.153, 0.933)
O (0.415, 0.896, 0.661)
O (0.435, 0.400, 0.629)
O (0.565, 0.600, 0.371)
O (0.585, 0.104, 0.339)
O (0.682, 0.847, 0.067)
O (0.705, 0.314, 0.087)
O (0.832, 0.031, 0.793)
O (0.833, 0.573, 0.788)
O (0.988, 0.743, 0.514)

Principal peaks in the range 10° ≤ 2θ ≤ 80°, low angle first:
| Position (°2θ) | I_rel |
| --- | --- |
| 18.25 | 1000 |
| 34.19 | 172 |
| 36.05 | 116 |
| 36.24 | 111 |
| 41.13 | 335 |
| 44.04 | 549 |
| 58.02 | 92 |
| 61.49 | 81 |
| 61.74 | 80 |
| 61.95 | 79 |

LiMn3O6: calculated powder X-ray diffraction pattern (CuKα), based on a cell relaxed with PBE+U.
Peak positions follow from Bragg's law for the DFT cell and can differ from measured ones.

Structure:
a = 5.925 Å, b = 5.925 Å, c = 13.272 Å
α = 103.20°, β = 103.20°, γ = 87.64°
Sites, in units of the cell vectors:
Li (0.121, 0.879, 0.500)
Li (0.223, 0.471, 0.671)
Li (0.471, 0.223, 0.171)
Li (0.879, 0.121, 0.000)
Mn (0.000, 0.001, 0.753)
Mn (0.001, 0.000, 0.253)
Mn (0.169, 0.670, 0.084)
Mn (0.344, 0.346, 0.418)
Mn (0.346, 0.344, 0.918)
Mn (0.351, 0.844, 0.922)
Mn (0.503, 0.997, 0.749)
Mn (0.667, 0.673, 0.584)
Mn (0.670, 0.169, 0.584)
Mn (0.673, 0.667, 0.084)
Mn (0.844, 0.351, 0.422)
Mn (0.997, 0.503, 0.249)
O (0.079, 0.561, 0.406)
O (0.101, 0.134, 0.420)
O (0.134, 0.101, 0.920)
O (0.140, 0.606, 0.927)
O (0.202, 0.738, 0.240)
O (0.239, 0.270, 0.263)
O (0.263, 0.792, 0.766)
O (0.270, 0.239, 0.763)
O (0.424, 0.447, 0.074)
O (0.432, 0.909, 0.597)
O (0.440, 0.904, 0.074)
O (0.447, 0.424, 0.574)
O (0.561, 0.079, 0.906)
O (0.566, 0.588, 0.928)
O (0.588, 0.566, 0.428)
O (0.606, 0.140, 0.427)
O (0.735, 0.764, 0.736)
O (0.738, 0.202, 0.740)
O (0.764, 0.735, 0.236)
O (0.792, 0.263, 0.266)
O (0.880, 0.911, 0.585)
O (0.904, 0.440, 0.574)
O (0.909, 0.432, 0.097)
O (0.911, 0.880, 0.085)

Principal peaks in the range 10° ≤ 2θ ≤ 80°, low angle first:
| Position (°2θ) | I_rel |
| --- | --- |
| 18.34 | 1000 |
| 34.94 | 67 |
| 35.06 | 76 |
| 35.43 | 75 |
| 36.10 | 131 |
| 42.28 | 181 |
| 43.11 | 174 |
| 44.15 | 163 |
| 62.78 | 95 |
| 63.41 | 95 |

LiMn3O4: calculated powder X-ray diffraction pattern (CuKα), based on a cell relaxed with PBE+U.
Peak positions follow from Bragg's law for the DFT cell and can differ from measured ones.

Structure:
a = 6.286 Å, b = 8.652 Å, c = 3.166 Å
α = 90.00°, β = 91.42°, γ = 90.00°
Sites, in units of the cell vectors:
Li (0.000, 0.000, 0.000)
Li (0.500, 0.500, 0.000)
Mn (0.000, 0.506, 0.000)
Mn (0.249, 0.252, 0.502)
Mn (0.251, 0.752, 0.498)
Mn (0.500, 0.006, 0.000)
Mn (0.749, 0.752, 0.502)
Mn (0.751, 0.252, 0.498)
O (0.000, 0.274, 0.000)
O (0.000, 0.737, 0.000)
O (0.237, 0.503, 0.425)
O (0.263, 0.003, 0.575)
O (0.500, 0.237, 0.000)
O (0.500, 0.774, 0.000)
O (0.737, 0.003, 0.425)
O (0.763, 0.503, 0.575)

Principal peaks in the range 10° ≤ 2θ ≤ 80°, low angle first:
| Position (°2θ) | I_rel |
| --- | --- |
| 17.44 | 1000 |
| 33.04 | 271 |
| 35.13 | 610 |
| 35.31 | 568 |
| 39.93 | 946 |
| 40.97 | 838 |
| 41.76 | 806 |
| 58.78 | 257 |
| 59.15 | 489 |
| 59.94 | 450 |

LiMn3O4: calculated powder X-ray diffraction pattern (CuKα), based on a cell relaxed with PBE+U.
Peak positions follow from Bragg's law for the DFT cell and can differ from measured ones.

Structure:
a = 6.300 Å, b = 8.652 Å, c = 3.144 Å
α = 90.00°, β = 91.34°, γ = 90.00°
Sites, in units of the cell vectors:
Li (0.000, 0.000, 0.000)
Li (0.500, 0.500, 0.000)
Mn (0.244, 0.251, 0.485)
Mn (0.244, 0.749, 0.485)
Mn (0.493, 0.000, 0.963)
Mn (0.744, 0.249, 0.485)
Mn (0.744, 0.751, 0.485)
Mn (0.993, 0.500, 0.963)
O (0.227, 0.500, 0.389)
O (0.250, 0.000, 0.549)
O (0.493, 0.232, 0.980)
O (0.493, 0.768, 0.980)
O (0.727, 0.000, 0.389)
O (0.750, 0.500, 0.549)
O (0.993, 0.268, 0.980)
O (0.993, 0.732, 0.980)

Principal peaks in the range 10° ≤ 2θ ≤ 80°, low angle first:
| Position (°2θ) | I_rel |
| --- | --- |
| 17.42 | 848 |
| 20.53 | 215 |
| 33.21 | 234 |
| 35.27 | 1000 |
| 40.05 | 793 |
| 41.04 | 703 |
| 41.76 | 688 |
| 58.63 | 221 |
| 59.24 | 413 |
| 59.99 | 379 |